No. 1
Structure and simulated powder diffraction line list of Np3Ni7As4 (the PBE geometry in Alexandria; CuKα).
No peak broadening, texture or thermal motion is included.

Principal peaks in the range 2θ = 10–90°, in order of falling intensity:
| d (Å) | 2θ (°) | I/Imax | h k l |
| --- | --- | --- | --- |
| 2.461 | 36.51 | 100 | 1 1 2 |
| 2.906 | 30.77 | 59 | 3 1 0 |
| 1.967 | 46.14 | 42 | 0 2 0 |
| 2.315 | 38.90 | 39 | 3 1 -3 |
| 2.357 | 38.18 | 36 | 5 1 -2 |
| 3.577 | 24.89 | 34 | 1 1 -1 |
| 2.143 | 42.18 | 24 | 5 1 -3 |
| 2.156 | 41.91 | 21 | 6 0 0 |
| 3.752 | 23.71 | 20 | 4 0 -1 |
| 2.757 | 32.48 | 19 | 4 0 -3 |

```
data_Np3Ni7As4
_chemical_formula_sum 'Np6 Ni14 As8'
_space_group_name_H-M_alt 'C 1 2/m 1'
_space_group_IT_number 12
_space_group_name_Hall '-C 2y'
_cell_length_a 15.0654
_cell_length_b 3.9345
_cell_length_c 8.6116
_cell_angle_alpha 90.00
_cell_angle_beta 120.85
_cell_angle_gamma 90.00
loop_
_atom_site_label
_atom_site_type_symbol
_atom_site_fract_x
_atom_site_fract_y
_atom_site_fract_z
Np1 Np 0.0000 0.0000 0.0000
Np2 Np 0.1846 0.5000 0.6378
Ni1 Ni 0.0000 0.0000 0.5000
Ni2 Ni 0.0122 0.5000 0.7104
Ni3 Ni 0.1067 0.0000 0.3623
Ni4 Ni 0.1897 0.5000 0.0209
As1 As 0.1244 0.0000 0.8275
As2 As 0.1505 0.5000 0.2591
```

No. 2
Structure and simulated powder diffraction line list of NpNi4As2 (the PBE geometry in Alexandria; CuKα).
No peak broadening, texture or thermal motion is included.

Principal peaks in the range 2θ = 10–90°, in order of falling intensity:
| d (Å) | 2θ (°) | I/Imax | h k l |
| --- | --- | --- | --- |
| 2.467 | 36.42 | 100 | 2 1 1 |
| 2.291 | 39.34 | 41 | 3 1 0 |
| 1.963 | 46.26 | 28 | 3 1 1 |
| 3.370 | 26.45 | 28 | 1 0 1 |
| 2.561 | 35.04 | 28 | 2 2 0 |
| 1.904 | 47.78 | 22 | 0 0 2 |
| 1.354 | 69.42 | 22 | 4 3 1 |
| 1.464 | 63.55 | 20 | 3 1 2 |
| 2.125 | 42.55 | 19 | 2 2 1 |
| 5.122 | 17.31 | 16 | 1 1 0 |

```
data_NpNi4As2
_chemical_formula_sum 'Np2 Ni8 As4'
_space_group_name_H-M_alt 'P 42/m n m'
_space_group_IT_number 136
_space_group_name_Hall '-P 4n 2n'
_cell_length_a 7.2432
_cell_length_b 7.2432
_cell_length_c 3.8070
_cell_angle_alpha 90.00
_cell_angle_beta 90.00
_cell_angle_gamma 90.00
loop_
_atom_site_label
_atom_site_type_symbol
_atom_site_fract_x
_atom_site_fract_y
_atom_site_fract_z
Np1 Np 0.0000 0.0000 0.0000
Ni1 Ni 0.0917 0.3490 0.5000
As1 As 0.2163 0.7837 0.5000
```